For LiVSe3, a cell relaxed with GGA-PBE gives the calculated X-ray diffraction stick pattern in this record (a wavelength of 1.5418 Å).
Lines closer than 0.1° are merged.

Main lines, by angle (10° ≤ 2θ ≤ 90°):
index  Position (°2θ)  d [Å]  intensity
1 1 0  10.67  8.291  39
1 3 1  30.53  2.929  21
2 0 -2  31.06  2.880  21
3 3 -1  31.84  2.810  100
0 0 2  33.79  2.652  44
4 4 -1  41.93  2.155  22
2 0 2  43.07  2.100  24
6 0 -2  46.98  1.934  15
4 4 1  51.81  1.765  14
3 3 -3  52.72  1.736  15

Structure:
```
data_LiVSe3
_chemical_formula_sum 'Li8 V8 Se24'
_symmetry_space_group_name_H-M 'C 1 2/c 1'
_symmetry_Int_Tables_number 15
_cell_length_a 12.2582
_cell_length_b 12.2522
_cell_length_c 5.7739
_cell_angle_alpha 90.00
_cell_angle_beta 113.26
_cell_angle_gamma 90.00
loop_
_symmetry_equiv_pos_as_xyz
'x,y,z'
'-x,-y,-z'
'-x,y,-z+1/2'
'x,-y,z+1/2'
'x+1/2,y+1/2,z'
'-x+1/2,-y+1/2,-z'
'-x+1/2,y+1/2,-z+1/2'
'x+1/2,-y+1/2,z+1/2'
loop_
_atom_site_label
_atom_site_type_symbol
_atom_site_fract_x
_atom_site_fract_y
_atom_site_fract_z
Li1 Li 0.1243 0.0803 0.1186
V1 V 0.0000 0.2730 0.7500
V2 V 0.0000 0.4215 0.2500
Se1 Se 0.1132 0.1308 0.6426
Se2 Se 0.1329 0.4243 0.7069
Se3 Se 0.1351 0.2918 0.2013
```